Starting from a crystal structure in Alexandria, relaxed with GGA-PBE, the X-ray powder pattern of Hf5V2H12 was computed for Cu Kα (λ = 1.5418 Å).
No peak broadening, texture or thermal motion is included.

Largest 10 diffraction maxima, in order of falling intensity, 10° ≤ 2θ ≤ 80°:
32.3°, I 100, (1 1 -2)
32.4°, I 67, (3 1 0)
32.6°, I 55, (3 1 -1)
32.8°, I 42, (0 2 0)
37.8°, I 33, (2 0 2)
55.9°, I 25, (6 0 -1)
42.3°, I 19, (2 2 1)
58.2°, I 18, (1 3 -2)
50.9°, I 17, (2 2 2)
61.6°, I 17, (4 2 -3)

```
data_Hf5V2H12
_space_group_name_H-M_alt 'C 1 2/m 1'
_space_group_IT_number 12
_cell_length_a 9.8839
_cell_length_b 5.4587
_cell_length_c 6.4646
_cell_angle_alpha 90.00
_cell_angle_beta 103.71
_cell_angle_gamma 90.00
loop_
_space_group_symop_operation_xyz
'x,y,z'
'-x,-y,-z'
'-x,y,-z'
'x,-y,z'
'x+1/2,y+1/2,z'
'-x+1/2,-y+1/2,-z'
'-x+1/2,y+1/2,-z'
'x+1/2,-y+1/2,z'
loop_
_atom_site_label
_atom_site_fract_x
_atom_site_fract_y
_atom_site_fract_z
Hf1 0.0000 0.0000 0.0000
Hf2 0.1562 0.5000 0.8686
Hf3 0.2257 0.5000 0.3440
V1 0.0000 0.2376 0.5000
H1 0.0245 0.5000 0.3374
H2 0.0872 0.0000 0.3861
H3 0.1708 0.2331 0.0991
H4 0.1776 0.3122 0.6021
```